Diffraction record for Ce2PmThN4. The powder diffractogram is computed, not measured: it uses a structure optimized by DFT (PBE) and λ = 1.5418 Å (Cu Kα).
No peak broadening, texture or thermal motion is included.

Most intense lines, 2θ = 15–90°, in order of falling intensity:
hkl	2θ (°)	intensity
2 0 0	30.36	100
1 1 1	35.20	72
2 0 2	50.64	50
3 1 1	60.17	34
1 3 1	85.05	15
0 0 4	63.15	13
4 0 -2	60.26	11
2 0 4	82.40	11

Structure:
```
data_Ce2PmThN4
_chemical_formula_sum 'Ce2 Pm1 Th1 N4'
_symmetry_space_group_name_H-M 'P 1 2/m 1'
_symmetry_Int_Tables_number 10
_symmetry_space_group_name_Hall '-P 2y'
_cell_length_a 6.235
_cell_length_b 3.606
_cell_length_c 6.249
_cell_angle_alpha 90.00
_cell_angle_beta 109.40
_cell_angle_gamma 90.00
loop_
_atom_site_label
_atom_site_type_symbol
_atom_site_fract_x
_atom_site_fract_y
_atom_site_fract_z
Ce1 Ce 0.000 0.000 0.000
Ce2 Ce 0.500 0.500 0.000
Pm1 Pm 0.000 0.500 0.500
Th1 Th 0.500 0.000 0.500
N1 N 0.253 0.500 0.246
N2 N 0.258 0.000 0.758
```